Structure and calculated powder diffraction line list of CsFeS2O8 (a crystal structure in Alexandria, relaxed with GGA+U; Cu Kα).
No peak broadening, texture or thermal motion is included.

Cell and atoms:
```
CsFeS2O8
1.0
4.988 0.000 0.000
-2.494 4.320 0.000
0.000 0.000 8.969
Cs Fe S O
1 1 2 8
Cartesian
0.000 0.000 0.000 Cs
0.000 0.000 4.485 Fe
0.000 2.880 2.787 S
2.494 1.440 6.182 S
-0.483 1.555 3.288 O
-0.906 3.960 3.288 O
0.000 2.880 1.324 O
1.105 1.196 5.681 O
1.389 3.124 3.288 O
2.494 1.440 7.646 O
3.400 0.359 5.681 O
2.977 2.765 5.681 O
```

Top 10 peaks for 15° ≤ 2θ ≤ 90°, by intensity:
- (1 0 2), 28.69°, I = 1000
- (0 1 1), 22.85°, I = 547
- (1 0 0), 20.56°, I = 444
- (1 1 0), 36.01°, I = 335
- (2 0 2), 46.68°, I = 251
- (0 1 4), 45.58°, I = 230
- (2 1 2), 60.33°, I = 216
- (1 1 2), 41.43°, I = 170
- (2 -1 4), 55.08°, I = 128
- (2 0 4), 59.42°, I = 117